Structure and computed X-ray diffraction stick pattern of La3Hg2Ru (a structure optimized by DFT (GGA-PBE); Cu Ka).
No peak broadening, texture or thermal motion is included.

Largest 10 diffraction maxima, sorted by position, 10° ≤ 2θ ≤ 90°:
two_theta	I/Imax
28.6	44.7
29.9	46.8
31.5	93.1
31.9	89.1
32.1	31.6
32.5	63.5
33.2	100.0
33.6	54.0
45.8	34.8
58.2	32.8

```
La3Hg2Ru
1.0
5.4017 0.0000 0.0000
0.3602 7.5749 0.0000
2.7002 -0.0116 8.3526
La Hg Ru
6 4 2
Direct
0.0392 0.2320 0.4995
0.3524 0.9995 0.7933
0.3808 0.4996 0.7386
0.6192 0.5004 0.2614
0.6476 0.0005 0.2067
0.9608 0.7680 0.5005
0.1920 0.7205 0.1058
0.2029 0.2798 0.1052
0.7971 0.7202 0.8948
0.8080 0.2795 0.8942
0.4509 0.8048 0.5007
0.5491 0.1952 0.4993
```


Structure and computed X-ray diffraction stick pattern of La2TlHgRu (a structure optimized by DFT (GGA-PBE); Cu Ka).
No peak broadening, texture or thermal motion is included.

Largest 10 diffraction maxima, sorted by position, 10° ≤ 2θ ≤ 90°:
two_theta	I/Imax
28.5	33.2
30.1	100.0
31.3	48.7
33.1	61.7
34.1	42.1
36.1	62.2
38.2	29.9
43.6	36.2
45.7	25.3
56.4	20.2

```
La2TlHgRu
1.0
8.5389 0.0000 0.0000
0.0000 4.1557 0.0000
-3.2846 0.0000 7.9437
La Tl Hg Ru
4 2 2 2
Direct
0.0177 0.2500 0.2415
0.3420 0.7500 0.6226
0.6580 0.2500 0.3774
0.9823 0.7500 0.7585
0.3399 0.2500 0.9576
0.6601 0.7500 0.0424
0.3137 0.7500 0.2216
0.6863 0.2500 0.7784
0.1110 0.2500 0.6229
0.8890 0.7500 0.3771
```


Structure and computed X-ray diffraction stick pattern of LaHgSb2 (a structure optimized by DFT (GGA-PBE); Cu Ka).
No peak broadening, texture or thermal motion is included.

Largest 10 diffraction maxima, sorted by position, 10° ≤ 2θ ≤ 90°:
two_theta	I/Imax
32.2	100.0
35.5	19.2
38.2	31.5
53.2	24.2
55.2	10.8
61.7	15.4
65.3	25.9
67.4	11.8
87.4	12.2
87.7	6.1

```
LaHgSb2
1.0
-2.3544 2.3544 5.0533
2.3544 -2.3544 5.0533
2.3544 2.3544 -5.0533
La Hg Sb
1 1 2
Direct
0.0000 0.0000 0.0000
0.5000 0.5000 0.0000
0.2500 0.7500 0.5000
0.7500 0.2500 0.5000
```